(1)
CaWN3: calculated X-ray diffraction stick pattern (Cu Kα), based on a structure optimized by DFT (PBE).
No peak broadening, texture or thermal motion is included.

```
data_CaWN3
_cell_length_a 14.5557
_cell_length_b 3.6460
_cell_length_c 5.8300
_cell_angle_alpha 90.00
_cell_angle_beta 106.18
_cell_angle_gamma 90.00
_space_group_name_H-M_alt 'C 1 2/m 1'
_space_group_IT_number 12
_space_group_name_Hall '-C 2y'
loop_
_atom_site_label
_atom_site_type_symbol
_atom_site_fract_x
_atom_site_fract_y
_atom_site_fract_z
_atom_site_occupancy
Ca1 Ca 0.0917 0.0000 0.2944 1
W1 W 0.1567 0.5000 0.8751 1
N1 N 0.0343 0.5000 0.9453 1
N2 N 0.1299 0.5000 0.5550 1
N3 N 0.1918 0.0000 0.0221 1
```

Largest 8 diffraction maxima, sorted by position, 15° ≤ 2θ ≤ 90°:
15.83 deg, I 66; 17.32 deg, I 58; 25.49 deg, I 32; 30.90 deg, I 100; 31.15 deg, I 37; 32.51 deg, I 36; 33.81 deg, I 19; 42.61 deg, I 21

(2)
MgO: calculated X-ray diffraction stick pattern (Cu Kα), based on a structure optimized by DFT (PBE).
No peak broadening, texture or thermal motion is included.

```
data_MgO
_cell_length_a 3.3471
_cell_length_b 3.3471
_cell_length_c 5.0033
_cell_angle_alpha 90.00
_cell_angle_beta 90.00
_cell_angle_gamma 120.00
_space_group_name_H-M_alt 'P 63 m c'
_space_group_IT_number 186
_space_group_name_Hall 'P 6c -2c'
loop_
_atom_site_label
_atom_site_type_symbol
_atom_site_fract_x
_atom_site_fract_y
_atom_site_fract_z
_atom_site_occupancy
Mg1 Mg 0.3333 0.6667 0.0000 1
O1 O 0.3333 0.6667 0.4033 1
```

Largest 8 diffraction maxima, sorted by position, 15° ≤ 2θ ≤ 90°:
30.85 deg, I 91; 35.85 deg, I 100; 48.04 deg, I 32; 54.86 deg, I 58; 64.27 deg, I 8; 64.46 deg, I 33; 67.31 deg, I 48; 89.61 deg, I 12

(3)
Na4ScSi2SnPO12: calculated X-ray diffraction stick pattern (Cu Kα), based on a structure optimized by DFT (PBE).
No peak broadening, texture or thermal motion is included.

```
data_Na4ScSi2SnPO12
_cell_length_a 15.8567
_cell_length_b 9.1542
_cell_length_c 9.1294
_cell_angle_alpha 90.00
_cell_angle_beta 125.01
_cell_angle_gamma 90.00
_space_group_name_H-M_alt 'C 1 c 1'
_space_group_IT_number 9
_space_group_name_Hall 'C -2yc'
loop_
_atom_site_label
_atom_site_type_symbol
_atom_site_fract_x
_atom_site_fract_y
_atom_site_fract_z
_atom_site_occupancy
Na1 Na 0.0000 0.0582 0.0000 1
Na2 Na 0.0665 0.2444 0.7422 1
Na3 Na 0.1346 0.4273 0.5007 1
Na4 Na 0.3135 0.1181 0.9862 1
Sc1 Sc 0.4170 0.2557 0.8036 1
Si1 Si 0.1710 0.1012 0.5030 1
Si2 Si 0.3161 0.4542 0.0014 1
Sn1 Sn 0.2154 0.2494 0.1973 1
P1 P 0.4647 0.1056 0.5002 1
O1 O 0.0571 0.3205 0.0114 1
O2 O 0.0733 0.1784 0.4876 1
O3 O 0.1655 0.0800 0.0123 1
O4 O 0.1704 0.1201 0.3211 1
O5 O 0.2335 0.3536 0.0148 1
O6 O 0.2364 0.4452 0.3212 1
O7 O 0.2736 0.1723 0.6760 1
O8 O 0.3692 0.1776 0.3296 1
O9 O 0.3906 0.4430 0.6736 1
O10 O 0.3936 0.3473 0.9869 1
O11 O 0.4646 0.1317 0.6658 1
O12 O 0.4698 0.0613 0.9815 1
```

Largest 8 diffraction maxima, sorted by position, 15° ≤ 2θ ≤ 90°:
19.39 deg, I 100; 27.60 deg, I 20; 30.84 deg, I 70; 30.96 deg, I 40; 33.92 deg, I 62; 44.30 deg, I 18; 46.55 deg, I 20; 52.92 deg, I 20